The following is a calculated XRD peak list of ZnCoPb2S2O2. It was derived from DFT lattice parameters and positions (PBE+U), using Cu Kα, 1.54184 Å.
Kinematic intensities with the Lorentz-polarization factor, no thermal factor.

Peak list (12 most intense, 2θ from 5° to 70°, sorted by position)
hkl 0 0 2, 14.5 deg, intensity 35
hkl 0 1 1, 27.8 deg, intensity 100
hkl 0 0 4, 29.3 deg, intensity 37
hkl 1 0 2, 30.6 deg, intensity 62
hkl 1 0 3, 34.9 deg, intensity 80
hkl 0 1 5, 46.2 deg, intensity 21
hkl 1 1 0, 47.4 deg, intensity 42
hkl 1 0 6, 52.8 deg, intensity 21
hkl 2 0 1, 55.9 deg, intensity 15
hkl 1 1 4, 56.7 deg, intensity 35
hkl 0 1 7, 60.0 deg, intensity 16
hkl 0 2 3, 60.2 deg, intensity 17

Atomic structure:
Cell lengths 3.8363, 3.8363, 12.1880 Å; angles 90.00, 90.00, 120.00 degrees
Atoms (fractional coordinates):
Zn: 0.0000 0.0000 0.0000
Co: 0.0000 0.0000 0.4997
Pb: 0.3333 0.6667 0.2393
Pb: 0.6667 0.3333 0.7350
S: 0.3333 0.6667 0.9302
S: 0.6667 0.3333 0.4349
O: 0.0000 0.0000 0.1605
O: 0.0000 0.0000 0.6573